Structure and computed XRD peak list of Sn3Se2Cl2 (a crystal structure in Alexandria, relaxed with PBE; a wavelength of 1.5418 Å).
Peak positions follow from Bragg's law for the DFT cell and can differ from measured ones.

Crystal structure
abc: 8.385 8.385 6.500
angles: 101.93 101.93 28.55
Positions (direct):
Sn (0.000, 0.000, 0.000)
Sn (0.254, 0.254, 0.776)
Sn (0.746, 0.746, 0.224)
Se (0.154, 0.154, 0.356)
Se (0.846, 0.846, 0.644)
Cl (0.415, 0.415, 0.176)
Cl (0.585, 0.585, 0.824)

Most intense lines, 10 to 90 degrees two-theta, sorted by position:
2theta, Rel. int.
11.14, 29
15.90, 28
28.96, 24
29.11, 100
32.53, 38
37.08, 17
40.71, 29
43.78, 19
45.65, 18
47.50, 24

***

Structure and computed XRD peak list of SnSe6Cl8 (a crystal structure in Alexandria, relaxed with PBE; a wavelength of 1.5418 Å).
Peak positions follow from Bragg's law for the DFT cell and can differ from measured ones.

Crystal structure
abc: 7.697 8.380 9.745
angles: 113.63 90.03 111.69
Positions (direct):
Sn (0.000, 0.000, 0.000)
Se (0.089, 0.051, 0.429)
Se (0.381, 0.478, 0.584)
Se (0.445, 0.522, 0.221)
Se (0.555, 0.478, 0.779)
Se (0.619, 0.522, 0.416)
Se (0.911, 0.949, 0.571)
Cl (0.033, 0.795, 0.733)
Cl (0.052, 0.262, 0.931)
Cl (0.344, 0.118, 0.085)
Cl (0.485, 0.827, 0.314)
Cl (0.515, 0.173, 0.686)
Cl (0.656, 0.882, 0.915)
Cl (0.948, 0.738, 0.069)
Cl (0.967, 0.205, 0.267)

Most intense lines, 10 to 90 degrees two-theta, sorted by position:
2theta, Rel. int.
13.75, 100
18.63, 11
21.17, 18
21.89, 17
25.32, 32
30.28, 11
30.39, 10
35.17, 16
36.28, 12
46.74, 9

***

Structure and computed XRD peak list of Sn4SeCl6 (a crystal structure in Alexandria, relaxed with PBE; a wavelength of 1.5418 Å).
Peak positions follow from Bragg's law for the DFT cell and can differ from measured ones.

Crystal structure
abc: 9.864 9.864 6.887
angles: 90.00 90.00 90.00
Positions (direct):
Sn (0.005, 0.250, 0.032)
Sn (0.250, 0.005, 0.532)
Sn (0.250, 0.495, 0.532)
Sn (0.495, 0.250, 0.032)
Sn (0.505, 0.750, 0.968)
Sn (0.750, 0.505, 0.468)
Sn (0.750, 0.995, 0.468)
Sn (0.995, 0.750, 0.968)
Se (0.250, 0.750, 0.750)
Se (0.750, 0.250, 0.250)
Cl (0.052, 0.552, 0.250)
Cl (0.052, 0.948, 0.250)
Cl (0.250, 0.250, 0.298)
Cl (0.250, 0.250, 0.798)
Cl (0.448, 0.552, 0.250)
Cl (0.448, 0.948, 0.250)
Cl (0.552, 0.052, 0.750)
Cl (0.552, 0.448, 0.750)
Cl (0.750, 0.750, 0.202)
Cl (0.750, 0.750, 0.702)
Cl (0.948, 0.052, 0.750)
Cl (0.948, 0.448, 0.750)

Most intense lines, 10 to 90 degrees two-theta, sorted by position:
2theta, Rel. int.
22.17, 100
30.12, 14
36.43, 29
36.68, 56
43.06, 36
43.48, 12
44.49, 10
52.48, 9
57.98, 11
65.72, 13

***

Structure and computed XRD peak list of SnSe2Cl5 (a crystal structure in Alexandria, relaxed with PBE; a wavelength of 1.5418 Å).
Peak positions follow from Bragg's law for the DFT cell and can differ from measured ones.

Crystal structure
abc: 6.333 7.022 8.633
angles: 84.18 83.55 66.71
Positions (direct):
Sn (0.000, 0.000, 0.000)
Se (0.212, 0.436, 0.437)
Se (0.468, 0.554, 0.489)
Cl (0.071, 0.297, 0.015)
Cl (0.300, 0.105, 0.539)
Cl (0.344, 0.718, 0.955)
Cl (0.760, 0.048, 0.804)
Cl (0.819, 0.935, 0.237)

Most intense lines, 10 to 90 degrees two-theta, sorted by position:
2theta, Rel. int.
15.28, 27
16.12, 34
16.71, 77
17.77, 100
18.02, 29
19.15, 60
20.75, 70
24.32, 53
24.86, 26
26.84, 27

***

Structure and computed XRD peak list of Sr4SeCl (a crystal structure in Alexandria, relaxed with PBE; a wavelength of 1.5418 Å).
Peak positions follow from Bragg's law for the DFT cell and can differ from measured ones.

Crystal structure
abc: 7.253 7.253 7.253
angles: 60.00 60.00 60.00
Positions (direct):
Sr (0.376, 0.376, 0.376)
Sr (0.376, 0.376, 0.873)
Sr (0.376, 0.873, 0.376)
Sr (0.873, 0.376, 0.376)
Se (0.750, 0.750, 0.750)
Cl (0.000, 0.000, 0.000)

Most intense lines, 10 to 90 degrees two-theta, sorted by position:
2theta, Rel. int.
14.96, 22
24.55, 15
28.87, 100
30.18, 55
34.99, 12
45.98, 36
50.32, 33
59.06, 13
59.81, 23
70.53, 22

***

Structure and computed XRD peak list of TaSeCl (a crystal structure in Alexandria, relaxed with PBE; a wavelength of 1.5418 Å).
Peak positions follow from Bragg's law for the DFT cell and can differ from measured ones.

Crystal structure
abc: 3.314 5.943 7.959
angles: 103.82 91.26 90.00
Positions (direct):
Ta (0.250, 0.204, 0.002)
Ta (0.750, 0.796, 0.998)
Se (0.260, 0.641, 0.197)
Se (0.740, 0.359, 0.803)
Cl (0.237, 0.834, 0.760)
Cl (0.763, 0.166, 0.240)

Most intense lines, 10 to 90 degrees two-theta, sorted by position:
2theta, Rel. int.
11.45, 100
31.00, 9
31.76, 9
32.07, 10
35.72, 11
36.35, 12
37.03, 11
40.91, 6
41.04, 6
41.75, 5

***

Structure and computed XRD peak list of Ta3SeCl (a crystal structure in Alexandria, relaxed with PBE; a wavelength of 1.5418 Å).
Peak positions follow from Bragg's law for the DFT cell and can differ from measured ones.

Crystal structure
abc: 4.572 4.572 4.572
angles: 90.00 90.00 90.00
Positions (direct):
Ta (0.000, 0.000, 0.500)
Ta (0.000, 0.500, 0.000)
Ta (0.500, 0.000, 0.000)
Se (0.500, 0.500, 0.500)
Cl (0.000, 0.000, 0.000)

Most intense lines, 10 to 90 degrees two-theta, sorted by position:
2theta, Rel. int.
19.42, 17
27.59, 3
33.96, 100
39.42, 63
44.30, 8
56.97, 43
60.78, 4
68.01, 41
71.48, 15
84.83, 7

***

Structure and computed XRD peak list of TaSe3Cl (a crystal structure in Alexandria, relaxed with PBE; a wavelength of 1.5418 Å).
Peak positions follow from Bragg's law for the DFT cell and can differ from measured ones.

Crystal structure
abc: 4.205 8.486 10.859
angles: 111.00 90.03 104.34
Positions (direct):
Ta (0.165, 0.330, 0.372)
Ta (0.835, 0.670, 0.628)
Se (0.027, 0.054, 0.202)
Se (0.192, 0.386, 0.165)
Se (0.344, 0.687, 0.499)
Se (0.656, 0.313, 0.501)
Se (0.808, 0.614, 0.835)
Se (0.973, 0.946, 0.798)
Cl (0.336, 0.674, 0.190)
Cl (0.664, 0.326, 0.810)

Most intense lines, 10 to 90 degrees two-theta, sorted by position:
2theta, Rel. int.
11.64, 100
17.11, 18
22.82, 36
24.46, 25
26.83, 15
33.57, 16
35.26, 16
39.78, 16
43.04, 18
50.84, 16

***

Structure and computed XRD peak list of Th2TaSe2Cl4 (a crystal structure in Alexandria, relaxed with PBE; a wavelength of 1.5418 Å).
Peak positions follow from Bragg's law for the DFT cell and can differ from measured ones.

Crystal structure
abc: 3.613 3.613 22.860
angles: 90.00 90.00 120.00
Positions (direct):
Th (0.000, 0.000, 0.000)
Th (0.333, 0.667, 0.338)
Ta (0.333, 0.667, 0.679)
Se (0.000, 0.000, 0.607)
Se (0.000, 0.000, 0.750)
Cl (0.000, 0.000, 0.250)
Cl (0.000, 0.000, 0.426)
Cl (0.333, 0.667, 0.088)
Cl (0.333, 0.667, 0.913)

Most intense lines, 10 to 90 degrees two-theta, sorted by position:
2theta, Rel. int.
11.61, 100
28.53, 20
29.60, 15
30.89, 18
32.63, 22
34.74, 32
39.90, 13
42.86, 18
50.52, 16
52.02, 15

***

Structure and computed XRD peak list of Tc2SeCl8 (a crystal structure in Alexandria, relaxed with PBE; a wavelength of 1.5418 Å).
Peak positions follow from Bragg's law for the DFT cell and can differ from measured ones.

Crystal structure
abc: 7.071 7.071 7.816
angles: 91.82 91.82 108.60
Positions (direct):
Tc (0.118, 0.118, 0.216)
Tc (0.882, 0.882, 0.784)
Se (0.000, 0.000, 0.500)
Cl (0.103, 0.702, 0.762)
Cl (0.169, 0.169, 0.916)
Cl (0.298, 0.897, 0.238)
Cl (0.387, 0.387, 0.281)
Cl (0.613, 0.613, 0.719)
Cl (0.702, 0.103, 0.762)
Cl (0.831, 0.831, 0.084)
Cl (0.897, 0.298, 0.238)

Most intense lines, 10 to 90 degrees two-theta, sorted by position:
2theta, Rel. int.
13.22, 100
15.43, 56
17.06, 28
17.83, 26
22.79, 19
24.98, 21
31.15, 23
36.11, 26
36.50, 26
39.94, 11

***

Structure and computed XRD peak list of TeSeCl3 (a crystal structure in Alexandria, relaxed with PBE; a wavelength of 1.5418 Å).
Peak positions follow from Bragg's law for the DFT cell and can differ from measured ones.

Crystal structure
abc: 7.469 7.460 16.045
angles: 90.00 90.65 90.00
Positions (direct):
Te (0.078, 0.127, 0.376)
Te (0.078, 0.873, 0.876)
Te (0.922, 0.127, 0.124)
Te (0.922, 0.873, 0.624)
Se (0.044, 0.437, 0.182)
Se (0.044, 0.563, 0.682)
Se (0.956, 0.437, 0.318)
Se (0.956, 0.563, 0.818)
Cl (0.097, 0.238, 0.001)
Cl (0.097, 0.762, 0.501)
Cl (0.235, 0.038, 0.241)
Cl (0.235, 0.962, 0.741)
Cl (0.356, 0.212, 0.435)
Cl (0.356, 0.788, 0.935)
Cl (0.644, 0.212, 0.065)
Cl (0.644, 0.788, 0.565)
Cl (0.765, 0.038, 0.259)
Cl (0.765, 0.962, 0.759)
Cl (0.903, 0.238, 0.499)
Cl (0.903, 0.762, 0.999)

Most intense lines, 10 to 90 degrees two-theta, sorted by position:
2theta, Rel. int.
11.85, 100
13.09, 50
16.12, 11
17.66, 25
20.21, 14
26.35, 13
29.06, 21
31.70, 13
32.55, 13
38.14, 12

***

Structure and computed XRD peak list of Te4Se5Cl2 (a crystal structure in Alexandria, relaxed with PBE; a wavelength of 1.5418 Å).
Peak positions follow from Bragg's law for the DFT cell and can differ from measured ones.

Crystal structure
abc: 7.321 8.078 8.245
angles: 76.82 69.06 63.45
Positions (direct):
Te (0.029, 0.188, 0.203)
Te (0.364, 0.112, 0.383)
Te (0.636, 0.888, 0.617)
Te (0.971, 0.812, 0.797)
Se (0.000, 0.500, 0.000)
Se (0.019, 0.181, 0.668)
Se (0.212, 0.647, 0.508)
Se (0.788, 0.353, 0.492)
Se (0.981, 0.819, 0.332)
Cl (0.316, 0.928, 0.926)
Cl (0.684, 0.072, 0.074)

Most intense lines, 10 to 90 degrees two-theta, sorted by position:
2theta, Rel. int.
11.53, 58
12.29, 76
14.15, 100
16.17, 57
22.82, 79
23.02, 100
28.05, 46
31.13, 77
34.63, 99
39.66, 45

***

Which formula does entry 6 have? TaSeCl